Entry 1:
# NbTe5Pd
Simulated powder X-ray diffraction pattern, Cu Kα (λ = 1.5418 Å). Input: a cell relaxed with PBE.

Cell and atoms:
a b c (Å): 15.7788 3.7777 14.0016
angles (deg): 90.00 90.00 90.00
Space group Pnma (No. 62)
Asymmetric unit:
Nb 0.1581 0.2500 0.2460 [4 per cell]
Te 0.0091 0.7500 0.8416 [4 per cell]
Te 0.0620 0.7500 0.3563 [4 per cell]
Te 0.1514 0.7500 0.0906 [4 per cell]
Te 0.1805 0.7500 0.6401 [4 per cell]
Te 0.2393 0.2500 0.8464 [4 per cell]
Pd 0.0923 0.2500 0.7388 [4 per cell]

The 8 most intense peaks (10 to 80 degrees two-theta), low angle first:
index	Position (°2θ)	Rel. int.
0 0 2	12.64	100.0
0 0 4	25.47	25.6
1 1 3	30.98	28.8
5 0 2	31.09	49.7
3 1 2	31.84	78.3
2 1 4	36.81	58.6
6 1 1	42.37	51.8
0 2 0	48.18	25.8

Entry 2:
# NdAg2
Simulated powder X-ray diffraction pattern, Cu Kα (λ = 1.5418 Å). Input: a cell relaxed with PBE.

Cell and atoms:
a b c (Å): 4.8400 4.8400 3.5657
angles (deg): 90.00 90.00 120.00
Space group P6/mmm (No. 191)
Asymmetric unit:
Nd 0.0000 0.0000 0.0000 [1 per cell]
Ag 0.3333 0.6667 0.5000 [2 per cell]

The 8 most intense peaks (10 to 80 degrees two-theta), low angle first:
index	Position (°2θ)	Rel. int.
1 0 1	32.98	100.0
1 1 0	37.15	74.6
2 0 1	50.51	29.4
0 0 2	51.24	9.6
2 1 1	64.35	27.9
1 1 2	64.97	27.6
3 0 0	66.98	12.6
2 2 0	79.16	7.8

Entry 3:
# Nd3NiGe2
Simulated powder X-ray diffraction pattern, Cu Kα (λ = 1.5418 Å). Input: a cell relaxed with PBE.

Cell and atoms:
a b c (Å): 11.8786 4.3080 11.7434
angles (deg): 90.00 90.00 90.00
Space group Pnma (No. 62)
Asymmetric unit:
Nd 0.0583 0.2500 0.1254 [4 per cell]
Nd 0.1163 0.7500 0.5578 [4 per cell]
Nd 0.2163 0.2500 0.8040 [4 per cell]
Ni 0.1300 0.2500 0.3662 [4 per cell]
Ge 0.0237 0.7500 0.3127 [4 per cell]
Ge 0.1962 0.7500 0.9952 [4 per cell]

The 8 most intense peaks (10 to 80 degrees two-theta), low angle first:
index	Position (°2θ)	Rel. int.
2 1 1	26.68	42.5
3 0 2	27.16	45.7
2 1 2	29.80	56.9
0 1 3	30.86	100.0
3 1 1	31.62	45.4
3 1 2	34.35	78.1
4 1 1	37.58	45.3
0 2 0	41.94	63.5

Entry 4:
# CaCeMg14
Simulated powder X-ray diffraction pattern, Cu Kα (λ = 1.5418 Å). Input: a cell relaxed with PBE.

Cell and atoms:
a b c (Å): 6.6307 6.6307 10.3529
angles (deg): 90.00 90.00 120.00
Space group P-6m2 (No. 187)
Asymmetric unit:
Ca 0.0000 0.0000 0.0000 [1 per cell]
Ce 0.0000 0.0000 0.5000 [1 per cell]
Mg 0.0068 0.5034 0.0000 [3 per cell]
Mg 0.0111 0.5055 0.5000 [3 per cell]
Mg 0.1718 0.3435 0.2506 [6 per cell]
Mg 0.6667 0.3333 0.2546 [2 per cell]

The 8 most intense peaks (10 to 80 degrees two-theta), low angle first:
index	Position (°2θ)	Rel. int.
1 0 0	15.43	27.3
1 0 1	17.66	23.0
1 0 2	23.13	25.4
2 0 0	31.15	28.0
0 0 4	34.66	23.9
2 0 2	35.76	100.0
2 0 6	62.83	18.2
2 2 4	67.05	19.2